Record 1
The following is a computed X-ray diffraction stick pattern of Cr2Fe. It was derived from a cell relaxed with GGA-PBE, using CuKα.

Atomic structure:
```
data_Cr2Fe
_chemical_formula_sum 'Cr4 Fe2'
_cell_length_a 4.6566
_cell_length_b 4.6566
_cell_length_c 4.6566
_cell_angle_alpha 60.00
_cell_angle_beta 60.00
_cell_angle_gamma 60.00
_space_group_name_H-M_alt 'P 1'
_space_group_IT_number 1
loop_
_space_group_symop_operation_xyz
'x,y,z'
loop_
_atom_site_label
_atom_site_type_symbol
_atom_site_fract_x
_atom_site_fract_y
_atom_site_fract_z
_atom_site_occupancy
Cr1 Cr 0.0000 0.0000 0.0000 1
Cr2 Cr 0.0000 0.0000 0.5000 1
Cr3 Cr 0.0000 0.5000 0.0000 1
Cr4 Cr 0.5000 0.0000 0.0000 1
Fe1 Fe 0.3750 0.3750 0.3750 1
Fe2 Fe 0.6250 0.6250 0.6250 1
```

Largest 6 diffraction maxima, in order of rising 2θ, 5 to 70 degrees two-theta:
d (Å)  I_rel
3.802  4
2.328  32
1.986  100
1.901  36
1.646  3
1.344  10

=====

Record 2
The following is a computed X-ray diffraction stick pattern of Bi3Pb3N5. It was derived from a cell relaxed with GGA-PBE, using CuKα.

Atomic structure:
```
data_Bi3Pb3N5
_chemical_formula_sum 'Bi6 Pb6 N10'
_cell_length_a 6.6226
_cell_length_b 7.6366
_cell_length_c 10.2780
_cell_angle_alpha 92.78
_cell_angle_beta 91.05
_cell_angle_gamma 102.82
_space_group_name_H-M_alt 'P 1'
_space_group_IT_number 1
loop_
_space_group_symop_operation_xyz
'x,y,z'
loop_
_atom_site_label
_atom_site_type_symbol
_atom_site_fract_x
_atom_site_fract_y
_atom_site_fract_z
_atom_site_occupancy
Bi1 Bi 0.1529 0.2549 0.3661 1
Bi2 Bi 0.2533 0.9574 0.0831 1
Bi3 Bi 0.2595 0.2011 0.7196 1
Bi4 Bi 0.7405 0.7989 0.2804 1
Bi5 Bi 0.7467 0.0426 0.9169 1
Bi6 Bi 0.8471 0.7451 0.6339 1
Pb1 Pb 0.2149 0.4027 0.0260 1
Pb2 Pb 0.2988 0.8402 0.4172 1
Pb3 Pb 0.3259 0.7174 0.7634 1
Pb4 Pb 0.6741 0.2826 0.2366 1
Pb5 Pb 0.7012 0.1598 0.5828 1
Pb6 Pb 0.7851 0.5973 0.9740 1
N1 N 0.0472 0.9828 0.2533 1
N2 N 0.1626 0.6881 0.9788 1
N3 N 0.3292 0.1301 0.5133 1
N4 N 0.3721 0.3876 0.2268 1
N5 N 0.4930 0.0386 0.7667 1
N6 N 0.5070 0.9614 0.2334 1
N7 N 0.6279 0.6124 0.7732 1
N8 N 0.6708 0.8699 0.4867 1
N9 N 0.8374 0.3119 0.0212 1
N10 N 0.9528 0.0172 0.7467 1
```

Largest 10 diffraction maxima, in order of rising 2θ, 5 to 70 degrees two-theta:
d (Å)  I_rel
3.436  73
3.421  22
3.228  81
3.091  21
3.059  100
2.988  100
2.656  59
2.637  37
2.622  28
2.382  27

=====

Record 3
The following is a computed X-ray diffraction stick pattern of CdH6S4O16. It was derived from a cell relaxed with GGA-PBE, using CuKα.

Atomic structure:
```
data_CdH6S4O16
_chemical_formula_sum 'Cd2 H12 S8 O32'
_cell_length_a 5.5067
_cell_length_b 15.7623
_cell_length_c 9.7100
_cell_angle_alpha 90.00
_cell_angle_beta 105.09
_cell_angle_gamma 90.00
_space_group_name_H-M_alt 'P 1'
_space_group_IT_number 1
loop_
_space_group_symop_operation_xyz
'x,y,z'
loop_
_atom_site_label
_atom_site_type_symbol
_atom_site_fract_x
_atom_site_fract_y
_atom_site_fract_z
_atom_site_occupancy
Cd1 Cd 0.0000 0.0000 0.0000 1
Cd2 Cd 0.0000 0.5000 0.5000 1
H1 H 0.1877 0.2314 0.7753 1
H2 H 0.1877 0.2686 0.2753 1
H3 H 0.1896 0.7306 0.4588 1
H4 H 0.1896 0.7694 0.9588 1
H5 H 0.4693 0.2010 0.6771 1
H6 H 0.4693 0.2990 0.1771 1
H7 H 0.5307 0.7010 0.8229 1
H8 H 0.5307 0.7990 0.3229 1
H9 H 0.8104 0.2306 0.0412 1
H10 H 0.8104 0.2694 0.5412 1
H11 H 0.8123 0.7314 0.7247 1
H12 H 0.8123 0.7686 0.2247 1
S1 S 0.1389 0.6702 0.2608 1
S2 S 0.1389 0.8298 0.7608 1
S3 S 0.4098 0.0673 0.7796 1
S4 S 0.4098 0.4327 0.2796 1
S5 S 0.5902 0.5673 0.7204 1
S6 S 0.5902 0.9327 0.2204 1
S7 S 0.8611 0.1702 0.2392 1
S8 S 0.8611 0.3298 0.7392 1
O1 O 0.9999 0.1030 0.1903 1
O2 O 0.9999 0.3970 0.6903 1
O3 O 0.0001 0.6030 0.3097 1
O4 O 0.0001 0.8970 0.8097 1
O5 O 0.0474 0.2382 0.3186 1
O6 O 0.0474 0.2618 0.8186 1
O7 O 0.1396 0.2184 0.0447 1
O8 O 0.1396 0.2816 0.5447 1
O9 O 0.2920 0.0657 0.9006 1
O10 O 0.2920 0.4343 0.4006 1
O11 O 0.2999 0.6481 0.1726 1
O12 O 0.2999 0.8519 0.6726 1
O13 O 0.3068 0.7184 0.3968 1
O14 O 0.3068 0.7816 0.8968 1
O15 O 0.3100 0.5632 0.6700 1
O16 O 0.3100 0.9368 0.1700 1
O17 O 0.3710 0.1805 0.7419 1
O18 O 0.3710 0.3195 0.2419 1
O19 O 0.6290 0.6805 0.7581 1
O20 O 0.6290 0.8195 0.2581 1
O21 O 0.6900 0.0632 0.8300 1
O22 O 0.6900 0.4368 0.3300 1
O23 O 0.6932 0.2184 0.1032 1
O24 O 0.6932 0.2816 0.6032 1
O25 O 0.7001 0.1481 0.3274 1
O26 O 0.7001 0.3519 0.8274 1
O27 O 0.7080 0.5657 0.5994 1
O28 O 0.7080 0.9343 0.0994 1
O29 O 0.8604 0.7184 0.4553 1
O30 O 0.8604 0.7816 0.9553 1
O31 O 0.9526 0.7382 0.1814 1
O32 O 0.9526 0.7618 0.6814 1
```

Largest 10 diffraction maxima, in order of rising 2θ, 5 to 70 degrees two-theta:
d (Å)  I_rel
8.058  100
5.317  9
4.583  10
4.368  10
4.038  30
3.713  19
3.694  13
3.629  27
3.013  18
2.207  7

=====

Record 4
The following is a computed X-ray diffraction stick pattern of Mg5Si9. It was derived from a cell relaxed with GGA-PBE, using CuKα.

Atomic structure:
```
data_Mg5Si9
_chemical_formula_sum 'Mg10 Si18'
_cell_length_a 6.5158
_cell_length_b 7.3976
_cell_length_c 12.1576
_cell_angle_alpha 89.95
_cell_angle_beta 81.75
_cell_angle_gamma 66.80
_space_group_name_H-M_alt 'P 1'
_space_group_IT_number 1
loop_
_space_group_symop_operation_xyz
'x,y,z'
loop_
_atom_site_label
_atom_site_type_symbol
_atom_site_fract_x
_atom_site_fract_y
_atom_site_fract_z
_atom_site_occupancy
Mg1 Mg 0.0000 0.0000 0.0000 1
Mg2 Mg 0.0138 0.5819 0.0767 1
Mg3 Mg 0.0456 0.3305 0.8493 1
Mg4 Mg 0.2443 0.4903 0.3929 1
Mg5 Mg 0.3132 0.7563 0.5641 1
Mg6 Mg 0.4717 0.3690 0.8904 1
Mg7 Mg 0.6288 0.7888 0.9366 1
Mg8 Mg 0.7704 0.8436 0.5452 1
Mg9 Mg 0.8769 0.0441 0.7401 1
Mg10 Mg 0.9737 0.8796 0.2872 1
Si1 Si 0.0079 0.1111 0.5229 1
Si2 Si 0.0206 0.2555 0.2258 1
Si3 Si 0.0407 0.5538 0.6550 1
Si4 Si 0.0923 0.6869 0.8313 1
Si5 Si 0.2528 0.0650 0.3539 1
Si6 Si 0.2744 0.1707 0.0530 1
Si7 Si 0.2836 0.2161 0.5897 1
Si8 Si 0.3852 0.5647 0.1645 1
Si9 Si 0.4182 0.7577 0.7724 1
Si10 Si 0.4512 0.0651 0.7463 1
Si11 Si 0.5188 0.7721 0.2561 1
Si12 Si 0.5647 0.1444 0.4196 1
Si13 Si 0.6297 0.9770 0.1284 1
Si14 Si 0.6490 0.2512 0.2242 1
Si15 Si 0.6815 0.4076 0.4924 1
Si16 Si 0.7176 0.4646 0.6865 1
Si17 Si 0.7249 0.4197 0.0311 1
Si18 Si 0.8248 0.5640 0.3445 1
```

Largest 10 diffraction maxima, in order of rising 2θ, 5 to 70 degrees two-theta:
d (Å)  I_rel
2.851  36
2.690  100
2.670  66
2.580  47
2.557  38
2.540  41
2.514  33
2.491  41
2.409  43
2.198  40

=====

Record 5
The following is a computed X-ray diffraction stick pattern of Nd2MgPtO6. It was derived from a cell relaxed with GGA-PBE, using CuKα.

Atomic structure:
```
data_Nd2MgPtO6
_chemical_formula_sum 'Nd4 Mg2 Pt2 O12'
_cell_length_a 5.5109
_cell_length_b 5.7640
_cell_length_c 9.6071
_cell_angle_alpha 90.00
_cell_angle_beta 124.74
_cell_angle_gamma 90.00
_space_group_name_H-M_alt 'P 1'
_space_group_IT_number 1
loop_
_space_group_symop_operation_xyz
'x,y,z'
loop_
_atom_site_label
_atom_site_type_symbol
_atom_site_fract_x
_atom_site_fract_y
_atom_site_fract_z
_atom_site_occupancy
Nd1 Nd 0.2337 0.0623 0.2505 1
Nd2 Nd 0.2337 0.4377 0.7505 1
Nd3 Nd 0.7663 0.5623 0.2495 1
Nd4 Nd 0.7663 0.9377 0.7495 1
Mg1 Mg 0.5000 0.0000 0.0000 1
Mg2 Mg 0.5000 0.5000 0.5000 1
Pt1 Pt 0.0000 0.0000 0.5000 1
Pt2 Pt 0.0000 0.5000 0.0000 1
O1 O 0.1421 0.2045 0.9466 1
O2 O 0.1421 0.2955 0.4466 1
O3 O 0.2478 0.7006 0.9483 1
O4 O 0.2478 0.7994 0.4483 1
O5 O 0.3485 0.0323 0.7483 1
O6 O 0.3485 0.4677 0.2483 1
O7 O 0.6515 0.5323 0.7517 1
O8 O 0.6515 0.9677 0.2517 1
O9 O 0.7522 0.2006 0.5517 1
O10 O 0.7522 0.2994 0.0517 1
O11 O 0.8579 0.7045 0.5534 1
O12 O 0.8579 0.7955 0.0534 1
```

Largest 10 diffraction maxima, in order of rising 2θ, 5 to 70 degrees two-theta:
d (Å)  I_rel
4.655  48
4.523  45
2.882  42
2.809  100
2.799  99
2.755  49
2.369  23
1.992  40
1.974  27
1.602  33

=====

Record 6
The following is a computed X-ray diffraction stick pattern of Gd5B3O13. It was derived from a cell relaxed with GGA-PBE, using CuKα.

Atomic structure:
```
data_Gd5B3O13
_chemical_formula_sum 'Gd10 B6 O26'
_cell_length_a 9.0621
_cell_length_b 9.0621
_cell_length_c 6.8418
_cell_angle_alpha 90.00
_cell_angle_beta 90.00
_cell_angle_gamma 120.00
_space_group_name_H-M_alt 'P 1'
_space_group_IT_number 1
loop_
_space_group_symop_operation_xyz
'x,y,z'
loop_
_atom_site_label
_atom_site_type_symbol
_atom_site_fract_x
_atom_site_fract_y
_atom_site_fract_z
_atom_site_occupancy
Gd1 Gd 0.0115 0.2508 0.2500 1
Gd2 Gd 0.2393 0.9885 0.2500 1
Gd3 Gd 0.2508 0.2393 0.7500 1
Gd4 Gd 0.3333 0.6667 0.5014 1
Gd5 Gd 0.3333 0.6667 0.9986 1
Gd6 Gd 0.6667 0.3333 0.0014 1
Gd7 Gd 0.6667 0.3333 0.4986 1
Gd8 Gd 0.7492 0.7607 0.2500 1
Gd9 Gd 0.7607 0.0115 0.7500 1
Gd10 Gd 0.9885 0.7492 0.7500 1
B1 B 0.0303 0.3998 0.7500 1
B2 B 0.3696 0.9697 0.7500 1
B3 B 0.3998 0.3696 0.2500 1
B4 B 0.6002 0.6304 0.7500 1
B5 B 0.6304 0.0303 0.2500 1
B6 B 0.9697 0.6002 0.2500 1
O1 O 0.0000 0.0000 0.2500 1
O2 O 0.0000 0.0000 0.7500 1
O3 O 0.0887 0.3467 0.5736 1
O4 O 0.0887 0.3467 0.9264 1
O5 O 0.1242 0.5887 0.7500 1
O6 O 0.1549 0.6726 0.2500 1
O7 O 0.2580 0.9113 0.5736 1
O8 O 0.2580 0.9113 0.9264 1
O9 O 0.3274 0.4823 0.2500 1
O10 O 0.3467 0.2580 0.0736 1
O11 O 0.3467 0.2580 0.4264 1
O12 O 0.4113 0.5355 0.7500 1
O13 O 0.4645 0.8758 0.7500 1
O14 O 0.4823 0.1549 0.7500 1
O15 O 0.5177 0.8451 0.2500 1
O16 O 0.5355 0.1242 0.2500 1
O17 O 0.5887 0.4645 0.2500 1
O18 O 0.6533 0.7420 0.5736 1
O19 O 0.6533 0.7420 0.9264 1
O20 O 0.6726 0.5177 0.7500 1
O21 O 0.7420 0.0887 0.0736 1
O22 O 0.7420 0.0887 0.4264 1
O23 O 0.8451 0.3274 0.7500 1
O24 O 0.8758 0.4113 0.2500 1
O25 O 0.9113 0.6533 0.0736 1
O26 O 0.9113 0.6533 0.4264 1
```

Largest 10 diffraction maxima, in order of rising 2θ, 5 to 70 degrees two-theta:
d (Å)  I_rel
3.924  49
3.778  60
3.136  58
2.966  47
2.730  82
2.722  100
2.616  44
1.889  38
1.712  45
1.702  42

=====

Record 7
The following is a computed X-ray diffraction stick pattern of Ta2MoOs. It was derived from a cell relaxed with GGA-PBE, using CuKα.

Atomic structure:
```
data_Ta2MoOs
_chemical_formula_sum 'Ta2 Mo1 Os1'
_cell_length_a 4.5352
_cell_length_b 4.5352
_cell_length_c 4.5352
_cell_angle_alpha 60.00
_cell_angle_beta 60.00
_cell_angle_gamma 60.00
_space_group_name_H-M_alt 'P 1'
_space_group_IT_number 1
loop_
_space_group_symop_operation_xyz
'x,y,z'
loop_
_atom_site_label
_atom_site_type_symbol
_atom_site_fract_x
_atom_site_fract_y
_atom_site_fract_z
_atom_site_occupancy
Ta1 Ta 0.2500 0.2500 0.2500 1
Ta2 Ta 0.7500 0.7500 0.7500 1
Mo1 Mo 0.0000 0.0000 0.0000 1
Os1 Os 0.5000 0.5000 0.5000 1
```

Largest 7 diffraction maxima, in order of rising 2θ, 5 to 70 degrees two-theta:
d (Å)  I_rel
3.703  4
3.207  2
2.268  100
1.934  2
1.603  17
1.471  1
1.434  1

=====

Record 8
The following is a computed X-ray diffraction stick pattern of Ga4GePb4S12. It was derived from a cell relaxed with GGA-PBE, using CuKα.

Atomic structure:
```
data_Ga4GePb4S12
_chemical_formula_sum 'Ga8 Ge2 Pb8 S24'
_cell_length_a 12.8457
_cell_length_b 12.8457
_cell_length_c 6.2132
_cell_angle_alpha 90.00
_cell_angle_beta 90.00
_cell_angle_gamma 90.00
_space_group_name_H-M_alt 'P 1'
_space_group_IT_number 1
loop_
_space_group_symop_operation_xyz
'x,y,z'
loop_
_atom_site_label
_atom_site_type_symbol
_atom_site_fract_x
_atom_site_fract_y
_atom_site_fract_z
_atom_site_occupancy
Ga1 Ga 0.1480 0.2363 0.0483 1
Ga2 Ga 0.2363 0.8520 0.9517 1
Ga3 Ga 0.2637 0.3520 0.5483 1
Ga4 Ga 0.3520 0.7363 0.4517 1
Ga5 Ga 0.6480 0.2637 0.4517 1
Ga6 Ga 0.7363 0.6480 0.5483 1
Ga7 Ga 0.7637 0.1480 0.9517 1
Ga8 Ga 0.8520 0.7637 0.0483 1
Ge1 Ge 0.0000 0.0000 0.0000 1
Ge2 Ge 0.5000 0.5000 0.5000 1
Pb1 Pb 0.0094 0.6851 0.5899 1
Pb2 Pb 0.1851 0.5094 0.0899 1
Pb3 Pb 0.3149 0.0094 0.4101 1
Pb4 Pb 0.4906 0.1851 0.9101 1
Pb5 Pb 0.5094 0.8149 0.9101 1
Pb6 Pb 0.6851 0.9906 0.4101 1
Pb7 Pb 0.8149 0.4906 0.0899 1
Pb8 Pb 0.9906 0.3149 0.5899 1
S1 S 0.0187 0.3599 0.0353 1
S2 S 0.0926 0.9050 0.7638 1
S3 S 0.0950 0.0926 0.2362 1
S4 S 0.1401 0.4813 0.5353 1
S5 S 0.1907 0.2041 0.6943 1
S6 S 0.2041 0.8093 0.3057 1
S7 S 0.2959 0.3093 0.1943 1
S8 S 0.3093 0.7041 0.8057 1
S9 S 0.3599 0.9813 0.9647 1
S10 S 0.4050 0.5926 0.2638 1
S11 S 0.4074 0.4050 0.7362 1
S12 S 0.4813 0.8599 0.4647 1
S13 S 0.5187 0.1401 0.4647 1
S14 S 0.5926 0.5950 0.7362 1
S15 S 0.5950 0.4074 0.2638 1
S16 S 0.6401 0.0187 0.9647 1
S17 S 0.6907 0.2959 0.8057 1
S18 S 0.7041 0.6907 0.1943 1
S19 S 0.7959 0.1907 0.3057 1
S20 S 0.8093 0.7959 0.6943 1
S21 S 0.8599 0.5187 0.5353 1
S22 S 0.9050 0.9074 0.2362 1
S23 S 0.9074 0.0950 0.7638 1
S24 S 0.9813 0.6401 0.0353 1
```

Largest 10 diffraction maxima, in order of rising 2θ, 5 to 70 degrees two-theta:
d (Å)  I_rel
9.083  25
4.466  28
4.218  48
3.526  52
3.400  34
3.025  100
2.341  31
2.227  36
1.980  30
1.544  15

=====

Which formula does entry 3 have?
CdH6S4O16